ZnSbIrO6: theoretical powder XRD pattern (Cu Kα (weighted mean of Kα1 and Kα2)), based on a GGA-PBE-relaxed structure.
No peak broadening, texture or thermal motion is included.

Crystal structure
Cell lengths 4.669, 4.669, 9.514 Å; angles 90.00, 90.00, 90.00 degrees
Positions (direct):
Zn  0.000  0.000  0.000
Zn  0.500  0.500  0.500
Sb  0.000  0.000  0.668
Sb  0.500  0.500  0.168
Ir  0.000  0.000  0.334
Ir  0.500  0.500  0.834
O  0.188  0.188  0.496
O  0.194  0.194  0.172
O  0.203  0.203  0.830
O  0.297  0.703  0.330
O  0.306  0.694  0.672
O  0.312  0.688  0.996
O  0.688  0.312  0.996
O  0.694  0.306  0.672
O  0.703  0.297  0.330
O  0.797  0.797  0.830
O  0.806  0.806  0.172
O  0.812  0.812  0.496

Principal peaks in the range 2θ from 10° to 90°, by angle:
Position (°2θ), I/Imax
18.65, 9
21.20, 25
27.01, 100
34.18, 84
38.57, 24
52.47, 67
55.68, 16
62.95, 15
65.28, 16
66.98, 19
80.04, 13
84.78, 9

Sc4SnIrO: theoretical powder XRD pattern (Cu Kα (weighted mean of Kα1 and Kα2)), based on a GGA-PBE-relaxed structure.
No peak broadening, texture or thermal motion is included.

Crystal structure
Cell lengths 7.851, 7.851, 6.088 Å; angles 90.00, 90.00, 134.36 degrees
Positions (direct):
Sc  0.000  0.500  0.000
Sc  0.000  0.500  0.500
Sc  0.059  0.941  0.750
Sc  0.410  0.590  0.750
Sc  0.500  0.000  0.000
Sc  0.500  0.000  0.500
Sc  0.590  0.410  0.250
Sc  0.941  0.059  0.250
Sn  0.392  0.608  0.250
Sn  0.608  0.392  0.750
Ir  0.121  0.879  0.250
Ir  0.879  0.121  0.750
O  0.257  0.743  0.750
O  0.743  0.257  0.250

Principal peaks in the range 2θ from 10° to 90°, by angle:
Position (°2θ), I/Imax
21.53, 60
24.60, 23
27.77, 50
29.34, 71
31.89, 28
37.44, 34
38.65, 100
41.97, 64
48.87, 21
51.07, 20
60.86, 21
74.46, 29

SiIrO: theoretical powder XRD pattern (Cu Kα (weighted mean of Kα1 and Kα2)), based on a GGA-PBE-relaxed structure.
No peak broadening, texture or thermal motion is included.

Crystal structure
Cell lengths 2.765, 2.765, 6.921 Å; angles 90.00, 90.00, 120.00 degrees
Positions (direct):
Si  0.000  0.000  0.000
Ir  0.333  0.667  0.742
O  0.667  0.333  0.135

Principal peaks in the range 2θ from 10° to 90°, by angle:
Position (°2θ), I/Imax
12.79, 100
25.75, 17
37.56, 20
39.05, 9
39.83, 48
46.10, 34
55.29, 17
66.69, 9
67.76, 8
69.31, 8
80.10, 8
81.09, 6